This entry pairs a crystal structure of NaSrIn2Br5 with its calculated powder diffraction line list. Radiation: Cu Ka. Structure: the PBE geometry in Alexandria.

Peak list (10 most intense, 2θ from 15° to 90°, by angle)
d (Å)	intensity
4.432	17
3.823	29
3.322	100
3.123	28
2.937	43
2.862	28
2.734	35
2.485	21
2.284	34
2.125	21

Structure:
```
NaSrIn2Br5
1.0
2.2843 -9.5804 0.0000
2.2843 9.5804 0.0000
0.0000 0.0000 14.9900
Na Sr In Br
2 2 4 10
Direct
0.0377 0.9623 0.5000 Na
0.9623 0.0377 0.0000 Na
0.2751 0.7249 0.0643 Sr
0.7249 0.2751 0.5643 Sr
0.3777 0.6223 0.3212 In
0.4088 0.5912 0.7086 In
0.5912 0.4088 0.2086 In
0.6223 0.3777 0.8212 In
0.0082 0.9918 0.8187 Br
0.1166 0.8834 0.0530 Br
0.1914 0.8086 0.4362 Br
0.2336 0.7664 0.7045 Br
0.4326 0.5674 0.1102 Br
0.5674 0.4326 0.6102 Br
0.7664 0.2336 0.2045 Br
0.8086 0.1914 0.9362 Br
0.8834 0.1166 0.5530 Br
0.9918 0.0082 0.3187 Br
```